(1)
Structure and calculated PXRD pattern of SnBiP (the PBE geometry in Alexandria; a wavelength of 1.5418 Å).
No peak broadening, texture or thermal motion is included.

a = 3.2704 Å, b = 5.0297 Å, c = 10.8698 Å
α = 77.28°, β = 87.15°, γ = 73.90°
Space group P1 (No. 1)
Symmetry-distinct sites (fractional):
Sn 0.0000 0.0000 0.0000 x1
Sn 0.0172 0.7946 0.4133 x1
Bi 0.5057 0.1951 0.6118 x1
Bi 0.5195 0.6007 0.8016 x1
P 0.1949 0.5486 0.2062 x1
P 0.8237 0.2459 0.2071 x1

Peak list (8 most intense, 2θ from 15° to 90°, by intensity)
2θ = 27.9°, I 100, hkl 0 1 -2
2θ = 28.1°, I 98, hkl 0 1 3
2θ = 29.5°, I 58, hkl 1 0 -1
2θ = 29.7°, I 53, hkl 1 0 1
2θ = 37.2°, I 40, hkl 0 2 1
2θ = 42.6°, I 34, hkl 0 0 5
2θ = 32.2°, I 24, hkl 1 1 2
2θ = 40.3°, I 20, hkl -1 1 2

(2)
Structure and calculated PXRD pattern of SnBiP (the PBE geometry in Alexandria; a wavelength of 1.5418 Å).
No peak broadening, texture or thermal motion is included.

a = 3.2621 Å, b = 6.3665 Å, c = 8.8372 Å
α = 101.61°, β = 99.79°, γ = 104.47°
Space group P1 (No. 1)
Symmetry-distinct sites (fractional):
Sn 0.0000 0.0000 0.0000 x1
Sn 0.2243 0.7319 0.6898 x1
Bi 0.0198 0.7395 0.2683 x1
Bi 0.3492 0.2668 0.3949 x1
P 0.1145 0.3632 0.8513 x1
P 0.4577 0.1858 0.6988 x1

Peak list (8 most intense, 2θ from 15° to 90°, by intensity)
2θ = 29.1°, I 100, hkl 1 0 0
2θ = 28.9°, I 87, hkl 0 1 2
2θ = 28.5°, I 82, hkl 1 0 -1
2θ = 31.6°, I 73, hkl 0 1 -3
2θ = 32.1°, I 68, hkl 0 2 -2
2θ = 38.1°, I 60, hkl 1 0 -3
2θ = 29.4°, I 58, hkl -1 1 1
2θ = 37.5°, I 58, hkl 1 -1 2

(3)
Structure and calculated PXRD pattern of Sr7Bi2P2 (the PBE geometry in Alexandria; a wavelength of 1.5418 Å).
No peak broadening, texture or thermal motion is included.

a = 9.9466 Å, b = 11.3597 Å, c = 7.6418 Å
α = 90.00°, β = 90.00°, γ = 90.00°
Space group Cmmm (No. 65)
Symmetry-distinct sites (fractional):
Sr 0.0000 0.0000 0.0000 x2
Sr 0.0000 0.5000 0.2333 x4
Sr 0.2500 0.2500 0.2426 x8
Bi 0.2196 0.0000 0.5000 x4
P 0.0000 0.2734 0.0000 x4

Peak list (8 most intense, 2θ from 15° to 90°, by intensity)
2θ = 33.5°, I 100, hkl 2 2 2
2θ = 21.3°, I 58, hkl 2 0 1
2θ = 26.5°, I 46, hkl 2 2 1
2θ = 31.5°, I 45, hkl 0 4 0
2θ = 28.1°, I 39, hkl 0 2 2
2θ = 19.5°, I 36, hkl 0 2 1
2θ = 26.2°, I 27, hkl 1 1 2
2θ = 36.1°, I 25, hkl 4 0 0

(4)
Structure and calculated PXRD pattern of Sr6Bi2P (the PBE geometry in Alexandria; a wavelength of 1.5418 Å).
No peak broadening, texture or thermal motion is included.

a = 7.6464 Å, b = 8.8003 Å, c = 13.3924 Å
α = 90.00°, β = 124.39°, γ = 90.00°
Space group P2_1/c (No. 14)
Symmetry-distinct sites (fractional):
Sr 0.1199 0.1760 0.4402 x4
Sr 0.2773 0.6972 0.4471 x4
Sr 0.3597 0.0352 0.2457 x4
Bi 0.2118 0.1000 0.7545 x4
P 0.5000 0.0000 0.5000 x2

Peak list (8 most intense, 2θ from 15° to 90°, by intensity)
2θ = 33.7°, I 100, hkl 1 3 0
2θ = 17.3°, I 91, hkl 1 1 -2
2θ = 25.9°, I 79, hkl 0 2 2
2θ = 28.5°, I 77, hkl 2 0 -4
2θ = 28.3°, I 71, hkl 2 0 0
2θ = 31.7°, I 69, hkl 0 2 3
2θ = 32.0°, I 68, hkl 2 2 -1
2θ = 26.7°, I 65, hkl 2 1 -3

(5)
Structure and calculated PXRD pattern of Tb5BiP4 (the PBE geometry in Alexandria; a wavelength of 1.5418 Å).
No peak broadening, texture or thermal motion is included.

a = 13.7302 Å, b = 4.0634 Å, c = 10.2075 Å
α = 90.00°, β = 119.88°, γ = 90.00°
Space group C2/m (No. 12)
Symmetry-distinct sites (fractional):
Tb 0.0000 0.0000 0.0000 x2
Tb 0.1112 0.5000 0.3849 x4
Tb 0.2073 0.0000 0.8176 x4
Bi 0.0000 0.0000 0.5000 x2
P 0.0972 0.5000 0.8993 x4
P 0.2030 0.0000 0.2939 x4

Peak list (8 most intense, 2θ from 15° to 90°, by intensity)
2θ = 30.8°, I 100, hkl 3 1 -2
2θ = 30.6°, I 52, hkl 2 0 2
2θ = 44.1°, I 37, hkl 5 1 0
2θ = 43.8°, I 36, hkl 1 1 -4
2θ = 26.7°, I 24, hkl 1 1 1
2θ = 44.6°, I 21, hkl 0 2 0
2θ = 55.1°, I 20, hkl 2 2 2
2θ = 43.5°, I 17, hkl 6 0 -4

(6)
Structure and calculated PXRD pattern of Tb3BiP2 (the PBE geometry in Alexandria; a wavelength of 1.5418 Å).
No peak broadening, texture or thermal motion is included.

a = 4.9846 Å, b = 12.5517 Å, c = 9.8464 Å
α = 90.00°, β = 90.00°, γ = 90.00°
Space group Cmcm (No. 63)
Symmetry-distinct sites (fractional):
Tb 0.0000 0.0932 0.2500 x4
Tb 0.0000 0.3766 0.0482 x8
Bi 0.0000 0.2204 0.7500 x4
P 0.0000 0.0000 0.0000 x4
P 0.0000 0.4713 0.7500 x4

Peak list (8 most intense, 2θ from 15° to 90°, by intensity)
2θ = 33.4°, I 100, hkl 1 3 2
2θ = 29.3°, I 90, hkl 1 3 1
2θ = 26.4°, I 68, hkl 1 1 2
2θ = 36.0°, I 49, hkl 2 0 0
2θ = 54.7°, I 41, hkl 1 3 5
2θ = 30.7°, I 30, hkl 0 2 3
2θ = 36.5°, I 25, hkl 0 0 4
2θ = 29.9°, I 21, hkl 0 4 1

(7)
Structure and calculated PXRD pattern of Th5BiP4 (the PBE geometry in Alexandria; a wavelength of 1.5418 Å).
No peak broadening, texture or thermal motion is included.

a = 14.0539 Å, b = 4.2058 Å, c = 10.4296 Å
α = 90.00°, β = 119.73°, γ = 90.00°
Space group C2/m (No. 12)
Symmetry-distinct sites (fractional):
Th 0.0000 0.0000 0.0000 x2
Th 0.1125 0.5000 0.3852 x4
Th 0.2084 0.0000 0.8188 x4
Bi 0.0000 0.0000 0.5000 x2
P 0.0940 0.5000 0.8951 x4
P 0.2059 0.0000 0.2940 x4

Peak list (8 most intense, 2θ from 15° to 90°, by intensity)
2θ = 29.9°, I 100, hkl 2 0 2
2θ = 25.9°, I 31, hkl 1 1 1
2θ = 42.8°, I 25, hkl 5 1 0
2θ = 42.6°, I 24, hkl 1 1 -4
2θ = 53.2°, I 14, hkl 2 2 2
2θ = 25.8°, I 13, hkl 4 0 -1
2θ = 43.0°, I 13, hkl 0 2 0
2θ = 25.6°, I 13, hkl 2 0 -3

(8)
Structure and calculated PXRD pattern of TiBi2P (the PBE geometry in Alexandria; a wavelength of 1.5418 Å).
No peak broadening, texture or thermal motion is included.

a = 6.4190 Å, b = 6.4190 Å, c = 12.9847 Å
α = 90.00°, β = 90.00°, γ = 90.00°
Space group I-42d (No. 122)
Symmetry-distinct sites (fractional):
Ti 0.0000 0.0000 0.0000 x4
Bi 0.2456 0.2500 0.6250 x8
P 0.0000 0.0000 0.5000 x4

Peak list (8 most intense, 2θ from 15° to 90°, by intensity)
2θ = 23.9°, I 100, hkl 1 1 2
2θ = 39.5°, I 38, hkl 2 0 4
2θ = 46.9°, I 34, hkl 3 1 2
2θ = 27.8°, I 22, hkl 2 0 0
2θ = 39.7°, I 19, hkl 2 2 0
2θ = 46.5°, I 18, hkl 1 1 6
2θ = 62.8°, I 15, hkl 3 1 6
2θ = 71.9°, I 13, hkl 4 2 4

> What is the formula in the sixth record?

Tb3BiP2